This entry pairs a crystal structure of Rb2TaTlF6 with its simulated XRD peak list. Radiation: Cu Ka. Structure: the PBE geometry in the Materials Project.

Most intense lines, 2θ from 10° to 80°, in order of rising 2θ:
| 2θ/deg | Rel. int. |
| --- | --- |
| 18.5 | 26 |
| 26.3 | 100 |
| 37.5 | 31 |
| 42.1 | 12 |
| 46.3 | 42 |
| 54.0 | 20 |
| 57.6 | 6 |
| 61.0 | 21 |
| 67.6 | 6 |
| 73.9 | 23 |

Cell and atoms:
Cell lengths 9.6012, 9.6012, 9.6012 Å; angles 90.00, 90.00, 90.00 degrees
Space group Fm-3m (No. 225)
Unique sites:
Rb  0.2500  0.2500  0.2500 [8 per cell]
Ta  0.0000  0.0000  0.0000 [4 per cell]
Tl  0.0000  0.0000  0.5000 [4 per cell]
F  0.0000  0.0000  0.2147 [24 per cell]